# 1
The following is a simulated powder diffractogram of Sm6TmCd5. It was derived from a cell relaxed with PBE, using CuKα.
Lines closer than 0.1° are merged.

Unit cell a=9.414 b=9.414 c=9.414 alpha=146.87 beta=131.15 gamma=60.30
Fractional positions:
Sm  0.074  0.329  0.745
Sm  0.234  0.000  0.234
Sm  0.415  0.671  0.745
Sm  0.585  0.329  0.255
Sm  0.766  0.000  0.766
Sm  0.926  0.671  0.255
Tm  0.500  0.500  0.000
Cd  0.000  0.500  0.500
Cd  0.168  0.168  0.000
Cd  0.346  0.846  0.500
Cd  0.654  0.154  0.500
Cd  0.832  0.832  0.000

Main lines, low angle first (2θ = 10–80°):
2θ (°), intensity
32.86, 100.0
33.01, 24.2
33.39, 24.4
47.66, 17.2
58.58, 9.2
58.86, 17.3
59.34, 18.0
68.91, 10.8


# 2
The following is a simulated powder diffractogram of Cu4Ni. It was derived from a cell relaxed with PBE, using CuKα.
Lines closer than 0.1° are merged.

Unit cell a=9.182 b=9.182 c=9.182 alpha=164.07 beta=164.07 gamma=22.60
Fractional positions:
Cu  0.098  0.098  0.000
Cu  0.301  0.301  0.000
Cu  0.699  0.699  0.000
Cu  0.902  0.902  0.000
Ni  0.500  0.500  0.000

Main lines, low angle first (2θ = 10–80°):
2θ (°), intensity
43.55, 100.0
50.73, 46.6
74.57, 26.6